No. 1
Starting from a GGA-PBE-relaxed structure, the X-ray diffraction stick pattern of TlInAs2O7 was simulated for Cu Kα (λ = 1.5418 Å).
Intensities are scaled so that the largest is 100.

Cell and atoms:
a b c (Å): 7.975 8.809 10.705
angles (deg): 88.75 89.99 74.31
Element x y z (fractional)
Tl 0.154 0.462 0.181
Tl 0.182 0.942 0.316
Tl 0.818 0.058 0.684
Tl 0.846 0.538 0.819
In 0.237 0.231 0.602
In 0.238 0.739 0.904
In 0.762 0.261 0.096
In 0.763 0.769 0.398
As 0.129 0.669 0.600
As 0.156 0.149 0.927
As 0.433 0.327 0.858
As 0.450 0.798 0.632
As 0.550 0.202 0.368
As 0.567 0.673 0.142
As 0.844 0.851 0.073
As 0.871 0.331 0.400
O 0.008 0.286 0.011
O 0.011 0.780 0.480
O 0.077 0.778 0.732
O 0.103 0.178 0.772
O 0.105 0.485 0.617
O 0.189 0.964 0.987
O 0.266 0.493 0.870
O 0.330 0.975 0.573
O 0.339 0.259 0.418
O 0.352 0.655 0.564
O 0.364 0.186 0.955
O 0.373 0.661 0.084
O 0.456 0.769 0.791
O 0.458 0.253 0.711
O 0.542 0.747 0.289
O 0.544 0.231 0.209
O 0.627 0.339 0.916
O 0.636 0.814 0.045
O 0.648 0.345 0.436
O 0.661 0.741 0.582
O 0.670 0.025 0.427
O 0.734 0.507 0.130
O 0.811 0.036 0.013
O 0.895 0.515 0.383
O 0.897 0.822 0.228
O 0.923 0.222 0.268
O 0.989 0.220 0.520
O 0.992 0.714 0.989

Most intense lines, 2θ = 10–80°, sorted by position:
Position (°2θ), d/Å, intensity
24.44, 3.642, 24.6
26.58, 3.354, 27.1
27.64, 3.228, 24.3
27.76, 3.214, 48.5
28.14, 3.171, 100.0
28.29, 3.155, 48.9

---

No. 2
Starting from a GGA-PBE-relaxed structure, the X-ray diffraction stick pattern of Pr2Fe12P7 was simulated for Cu Kα (λ = 1.5418 Å).
Intensities are scaled so that the largest is 100.

Cell and atoms:
a b c (Å): 9.069 9.069 3.695
angles (deg): 90.00 90.00 120.00
Element x y z (fractional)
Pr 0.000 0.000 0.000
Pr 0.333 0.667 0.500
Fe 0.048 0.285 0.500
Fe 0.090 0.702 0.000
Fe 0.237 0.952 0.500
Fe 0.298 0.388 0.000
Fe 0.395 0.183 0.000
Fe 0.550 0.430 0.500
Fe 0.570 0.120 0.500
Fe 0.612 0.910 0.000
Fe 0.715 0.763 0.500
Fe 0.787 0.605 0.000
Fe 0.817 0.213 0.000
Fe 0.880 0.450 0.500
P 0.072 0.439 0.000
P 0.272 0.227 0.500
P 0.367 0.928 0.000
P 0.561 0.633 0.000
P 0.667 0.333 0.000
P 0.773 0.045 0.500
P 0.955 0.728 0.500

Most intense lines, 2θ = 10–80°, sorted by position:
Position (°2θ), d/Å, intensity
34.25, 2.618, 11.9
38.92, 2.314, 100.0
49.33, 1.847, 18.8
53.46, 1.714, 14.6
56.85, 1.620, 12.6
75.67, 1.257, 13.3

---

No. 3
Starting from a GGA-PBE-relaxed structure, the X-ray diffraction stick pattern of Os4C12SO12 was simulated for Cu Kα (λ = 1.5418 Å).
Intensities are scaled so that the largest is 100.

Cell and atoms:
a b c (Å): 7.392 17.252 8.247
angles (deg): 90.00 104.82 90.00
Element x y z (fractional)
Os 0.064 0.250 0.217
Os 0.323 0.134 0.170
Os 0.323 0.366 0.170
Os 0.428 0.250 0.458
Os 0.572 0.750 0.542
Os 0.677 0.634 0.830
Os 0.677 0.866 0.830
Os 0.936 0.750 0.783
C 0.011 0.666 0.664
C 0.011 0.834 0.664
C 0.144 0.088 0.991
C 0.144 0.412 0.991
C 0.163 0.750 0.956
C 0.308 0.750 0.435
C 0.315 0.047 0.317
C 0.315 0.453 0.317
C 0.378 0.171 0.598
C 0.378 0.329 0.598
C 0.469 0.594 0.900
C 0.469 0.906 0.900
C 0.531 0.094 0.100
C 0.531 0.406 0.100
C 0.622 0.671 0.402
C 0.622 0.829 0.402
C 0.685 0.547 0.683
C 0.685 0.953 0.683
C 0.692 0.250 0.565
C 0.837 0.250 0.044
C 0.856 0.588 0.009
C 0.856 0.912 0.009
C 0.989 0.166 0.336
C 0.989 0.334 0.336
S 0.252 0.250 0.012
S 0.748 0.750 0.988
O 0.028 0.064 0.879
O 0.028 0.436 0.879
O 0.064 0.616 0.592
O 0.064 0.884 0.592
O 0.151 0.750 0.362
O 0.301 0.507 0.396
O 0.301 0.993 0.396
O 0.307 0.750 0.056
O 0.345 0.124 0.688
O 0.345 0.376 0.688
O 0.348 0.570 0.952
O 0.348 0.930 0.952
O 0.652 0.070 0.048
O 0.652 0.430 0.048
O 0.655 0.624 0.312
O 0.655 0.876 0.312
O 0.693 0.250 0.944
O 0.699 0.007 0.604
O 0.699 0.493 0.604
O 0.849 0.250 0.638
O 0.936 0.116 0.408
O 0.936 0.384 0.408
O 0.972 0.564 0.121
O 0.972 0.936 0.121

Most intense lines, 2θ = 10–80°, sorted by position:
Position (°2θ), d/Å, intensity
10.25, 8.626, 56.9
12.23, 7.237, 100.0
13.41, 6.602, 66.9
14.37, 6.162, 41.2
21.13, 4.204, 17.1
30.75, 2.907, 33.8

---

No. 4
Starting from a GGA-PBE-relaxed structure, the X-ray diffraction stick pattern of CsDy2Ag3Te5 was simulated for Cu Kα (λ = 1.5418 Å).
Intensities are scaled so that the largest is 100.

Cell and atoms:
a b c (Å): 8.568 8.568 18.679
angles (deg): 90.00 90.00 148.97
Element x y z (fractional)
Cs 0.058 0.942 0.750
Cs 0.942 0.058 0.250
Dy 0.192 0.808 0.094
Dy 0.192 0.808 0.406
Dy 0.808 0.192 0.594
Dy 0.808 0.192 0.906
Ag 0.341 0.659 0.750
Ag 0.417 0.583 0.035
Ag 0.417 0.583 0.465
Ag 0.583 0.417 0.535
Ag 0.583 0.417 0.965
Ag 0.659 0.341 0.250
Te 0.178 0.822 0.571
Te 0.178 0.822 0.929
Te 0.254 0.746 0.250
Te 0.435 0.565 0.618
Te 0.435 0.565 0.882
Te 0.565 0.435 0.118
Te 0.565 0.435 0.382
Te 0.746 0.254 0.750
Te 0.822 0.178 0.071
Te 0.822 0.178 0.429

Most intense lines, 2θ = 10–80°, sorted by position:
Position (°2θ), d/Å, intensity
25.74, 3.461, 100.0
27.06, 3.295, 99.5
28.67, 3.113, 84.0
31.82, 2.812, 85.6
39.32, 2.292, 88.8
42.50, 2.127, 94.9

---

No. 5
Starting from a GGA-PBE-relaxed structure, the X-ray diffraction stick pattern of ReC2 was simulated for Cu Kα (λ = 1.5418 Å).
Intensities are scaled so that the largest is 100.

Cell and atoms:
a b c (Å): 2.688 2.688 3.848
angles (deg): 90.00 90.00 90.00
Element x y z (fractional)
Re 0.000 0.000 0.000
C 0.500 0.500 0.316
C 0.500 0.500 0.684

Most intense lines, 2θ = 10–80°, sorted by position:
Position (°2θ), d/Å, intensity
23.11, 3.848, 90.1
33.33, 2.688, 62.3
40.95, 2.204, 100.0
47.85, 1.901, 35.6
53.78, 1.704, 38.9
59.03, 1.565, 35.7